# 1
The following is a theoretical X-ray powder pattern of AcTbSm5Tm2. It was derived from a GGA-PBE-relaxed structure, using Cu Kα (weighted mean of Kα1 and Kα2).

Atomic structure:
Cell lengths 9.195, 9.195, 12.107 Å; angles 90.00, 90.00, 143.36 degrees
Atoms (fractional coordinates):
Ac 0.113 0.887 0.500
Ac 0.887 0.113 0.000
Tb 0.249 0.751 0.000
Tb 0.751 0.249 0.500
Sm 0.079 0.921 0.840
Sm 0.081 0.919 0.165
Sm 0.269 0.731 0.296
Sm 0.269 0.731 0.705
Sm 0.440 0.560 0.148
Sm 0.560 0.440 0.648
Sm 0.731 0.269 0.205
Sm 0.731 0.269 0.796
Sm 0.919 0.081 0.665
Sm 0.921 0.079 0.340
Tm 0.389 0.611 0.499
Tm 0.438 0.562 0.853
Tm 0.562 0.438 0.353
Tm 0.611 0.389 0.999

Main lines, by angle (2θ = 10–90°):
| 2θ (°) | I (rel.) |
| --- | --- |
| 30.77 | 34 |
| 30.94 | 34 |
| 31.09 | 100 |
| 31.28 | 8 |
| 44.16 | 17 |
| 54.86 | 9 |
| 55.14 | 22 |
| 55.55 | 8 |
| 61.42 | 8 |
| 62.00 | 8 |


# 2
The following is a theoretical X-ray powder pattern of CaPr12Y7. It was derived from a GGA-PBE-relaxed structure, using Cu Kα (weighted mean of Kα1 and Kα2).

Atomic structure:
Cell lengths 10.217, 10.217, 10.217 Å; angles 109.47, 109.47, 109.47 degrees
Atoms (fractional coordinates):
Ca 0.000 0.000 0.000
Pr 0.000 0.267 0.733
Pr 0.000 0.733 0.267
Pr 0.267 0.000 0.733
Pr 0.267 0.267 0.535
Pr 0.267 0.535 0.267
Pr 0.267 0.733 0.000
Pr 0.465 0.733 0.733
Pr 0.535 0.267 0.267
Pr 0.733 0.000 0.267
Pr 0.733 0.267 0.000
Pr 0.733 0.465 0.733
Pr 0.733 0.733 0.465
Y 0.000 0.000 0.500
Y 0.000 0.500 0.000
Y 0.000 0.500 0.500
Y 0.500 0.000 0.000
Y 0.500 0.000 0.500
Y 0.500 0.500 0.000
Y 0.500 0.500 0.500

Main lines, by angle (2θ = 10–90°):
| 2θ (°) | I (rel.) |
| --- | --- |
| 10.60 | 12 |
| 15.02 | 36 |
| 26.17 | 93 |
| 30.30 | 100 |
| 33.98 | 20 |
| 43.39 | 68 |
| 51.37 | 33 |
| 53.84 | 22 |
| 71.53 | 23 |
| 79.62 | 15 |


# 3
The following is a theoretical X-ray powder pattern of PbBr. It was derived from a GGA-PBE-relaxed structure, using Cu Kα (weighted mean of Kα1 and Kα2).

Atomic structure:
Cell lengths 6.830, 6.830, 4.912 Å; angles 90.00, 90.00, 120.00 degrees
Atoms (fractional coordinates):
Pb 0.000 0.581 0.000
Pb 0.419 0.419 0.000
Pb 0.581 0.000 0.000
Br 0.000 0.323 0.500
Br 0.323 0.000 0.500
Br 0.677 0.677 0.500

Main lines, by angle (2θ = 10–90°):
| 2θ (°) | I (rel.) |
| --- | --- |
| 18.06 | 23 |
| 26.09 | 38 |
| 30.22 | 25 |
| 31.91 | 100 |
| 35.43 | 40 |
| 36.59 | 24 |
| 45.49 | 18 |
| 56.06 | 19 |
| 59.39 | 30 |
| 68.82 | 21 |


# 4
The following is a theoretical X-ray powder pattern of Mn2Sb. It was derived from a GGA-PBE-relaxed structure, using Cu Kα (weighted mean of Kα1 and Kα2).

Atomic structure:
Cell lengths 6.011, 6.011, 6.011 Å; angles 90.00, 90.00, 90.00 degrees
Atoms (fractional coordinates):
Mn 0.000 0.000 0.000
Mn 0.000 0.500 0.500
Mn 0.250 0.250 0.250
Mn 0.250 0.750 0.750
Mn 0.500 0.000 0.500
Mn 0.500 0.500 0.000
Mn 0.750 0.250 0.750
Mn 0.750 0.750 0.250
Sb 0.000 0.000 0.500
Sb 0.000 0.500 0.000
Sb 0.500 0.000 0.000
Sb 0.500 0.500 0.500

Main lines, by angle (2θ = 10–90°):
| 2θ (°) | I (rel.) |
| --- | --- |
| 25.67 | 36 |
| 29.72 | 36 |
| 42.54 | 100 |
| 50.34 | 17 |
| 52.75 | 10 |
| 61.72 | 16 |
| 67.97 | 7 |
| 69.99 | 12 |
| 77.84 | 31 |
| 83.58 | 5 |


# 5
The following is a theoretical X-ray powder pattern of Mg2Tl2Te3. It was derived from a GGA-PBE-relaxed structure, using Cu Kα (weighted mean of Kα1 and Kα2).

Atomic structure:
Cell lengths 11.948, 11.948, 7.923 Å; angles 109.28, 109.28, 84.13 degrees
Atoms (fractional coordinates):
Mg 0.038 0.580 0.737
Mg 0.143 0.302 0.807
Mg 0.302 0.143 0.307
Mg 0.420 0.962 0.763
Mg 0.580 0.038 0.237
Mg 0.698 0.857 0.693
Mg 0.857 0.698 0.193
Mg 0.962 0.420 0.263
Tl 0.063 0.937 0.750
Tl 0.211 0.789 0.250
Tl 0.309 0.483 0.374
Tl 0.483 0.309 0.874
Tl 0.517 0.691 0.126
Tl 0.691 0.517 0.626
Tl 0.789 0.211 0.750
Tl 0.937 0.063 0.250
Te 0.072 0.650 0.448
Te 0.095 0.235 0.090
Te 0.235 0.095 0.590
Te 0.261 0.522 0.953
Te 0.350 0.928 0.052
Te 0.478 0.739 0.547
Te 0.522 0.261 0.453
Te 0.650 0.072 0.948
Te 0.739 0.478 0.047
Te 0.765 0.905 0.410
Te 0.905 0.765 0.910
Te 0.928 0.350 0.552

Main lines, by angle (2θ = 10–90°):
| 2θ (°) | I (rel.) |
| --- | --- |
| 16.71 | 52 |
| 23.00 | 66 |
| 23.81 | 85 |
| 25.14 | 47 |
| 25.55 | 79 |
| 28.64 | 83 |
| 30.16 | 100 |
| 30.25 | 72 |
| 31.90 | 87 |
| 38.01 | 64 |


# 6
The following is a theoretical X-ray powder pattern of MgCd2S3. It was derived from a GGA-PBE-relaxed structure, using Cu Kα (weighted mean of Kα1 and Kα2).

Atomic structure:
Cell lengths 7.173, 7.173, 6.731 Å; angles 90.00, 90.00, 59.99 degrees
Atoms (fractional coordinates):
Mg 0.164 0.836 0.500
Mg 0.836 0.164 0.000
Cd 0.166 0.504 0.001
Cd 0.496 0.834 0.001
Cd 0.504 0.166 0.501
Cd 0.834 0.496 0.501
S 0.155 0.845 0.134
S 0.167 0.510 0.619
S 0.490 0.833 0.619
S 0.510 0.167 0.119
S 0.833 0.490 0.119
S 0.845 0.155 0.634

Main lines, by angle (2θ = 10–90°):
| 2θ (°) | I (rel.) |
| --- | --- |
| 14.26 | 28 |
| 19.45 | 32 |
| 24.83 | 78 |
| 26.48 | 53 |
| 28.19 | 100 |
| 36.62 | 33 |
| 43.72 | 63 |
| 47.82 | 63 |
| 51.84 | 46 |
| 83.28 | 23 |


# 7
The following is a theoretical X-ray powder pattern of Li3Th2Tl4. It was derived from a GGA-PBE-relaxed structure, using Cu Kα (weighted mean of Kα1 and Kα2).

Atomic structure:
Cell lengths 8.722, 8.722, 8.342 Å; angles 90.00, 90.00, 136.75 degrees
Atoms (fractional coordinates):
Li 0.000 0.000 0.000
Li 0.026 0.474 0.250
Li 0.474 0.026 0.750
Li 0.500 0.500 0.500
Li 0.526 0.974 0.250
Li 0.974 0.526 0.750
Th 0.110 0.890 0.410
Th 0.390 0.610 0.910
Th 0.610 0.390 0.090
Th 0.890 0.110 0.590
Tl 0.179 0.821 0.029
Tl 0.198 0.302 0.250
Tl 0.302 0.198 0.750
Tl 0.321 0.679 0.529
Tl 0.679 0.321 0.471
Tl 0.698 0.802 0.250
Tl 0.802 0.698 0.750
Tl 0.821 0.179 0.971

Main lines, by angle (2θ = 10–90°):
| 2θ (°) | I (rel.) |
| --- | --- |
| 24.00 | 78 |
| 24.41 | 30 |
| 29.90 | 31 |
| 30.43 | 40 |
| 31.81 | 68 |
| 32.74 | 100 |
| 34.09 | 70 |
| 35.25 | 87 |
| 35.64 | 39 |
| 52.33 | 32 |


# 8
The following is a theoretical X-ray powder pattern of Nd5Y5Sb6. It was derived from a GGA-PBE-relaxed structure, using Cu Kα (weighted mean of Kα1 and Kα2).

Atomic structure:
Cell lengths 6.412, 9.217, 9.217 Å; angles 120.39, 90.00, 90.00 degrees
Atoms (fractional coordinates):
Nd 0.000 0.000 0.000
Nd 0.250 0.580 0.911
Nd 0.250 0.911 0.580
Nd 0.750 0.580 0.911
Nd 0.750 0.911 0.580
Y 0.000 0.244 0.494
Y 0.000 0.494 0.244
Y 0.500 0.246 0.995
Y 0.500 0.489 0.489
Y 0.500 0.995 0.246
Sb 0.000 0.249 0.861
Sb 0.000 0.624 0.624
Sb 0.000 0.861 0.249
Sb 0.500 0.245 0.627
Sb 0.500 0.627 0.245
Sb 0.500 0.864 0.864

Main lines, by angle (2θ = 10–90°):
| 2θ (°) | I (rel.) |
| --- | --- |
| 11.11 | 23 |
| 29.62 | 21 |
| 30.04 | 16 |
| 32.81 | 55 |
| 32.96 | 27 |
| 33.62 | 25 |
| 33.82 | 45 |
| 34.09 | 100 |
| 48.66 | 20 |
| 52.46 | 17 |